1.
The following is a theoretical powder diffractogram of Tm3Ga2. It was derived from a cell relaxed with PBE, using Cu Kα X-rays.
Intensities are scaled so that the largest is 100.

```
data_Tm3Ga2
_cell_length_a 11.461
_cell_length_b 11.461
_cell_length_c 14.709
_cell_angle_alpha 90.00
_cell_angle_beta 90.00
_cell_angle_gamma 90.00
_space_group_name_H-M_alt 'I 4/m c m'
_space_group_IT_number 140
_space_group_name_Hall '-I 4 2c'
loop_
_atom_site_label
_atom_site_type_symbol
_atom_site_fract_x
_atom_site_fract_y
_atom_site_fract_z
Tm1 Tm 0.000 0.500 0.146
Tm2 Tm 0.067 0.204 0.136
Tm3 Tm 0.169 0.331 0.500
Ga1 Ga 0.000 0.000 0.000
Ga2 Ga 0.000 0.000 0.250
Ga3 Ga 0.118 0.382 0.000
Ga4 Ga 0.177 0.323 0.299
```

Most intense lines, 10° ≤ 2θ ≤ 90°, in order of rising 2θ:
- 32.79°, intensity 86, (4 1 1)
- 32.89°, intensity 24, (2 2 4)
- 33.16°, intensity 32, (3 3 0)
- 33.60°, intensity 45, (3 2 3)
- 34.75°, intensity 100, (3 1 4)
- 35.01°, intensity 29, (4 2 0)
- 35.17°, intensity 20, (2 1 5)
- 37.18°, intensity 32, (4 1 3)
- 54.77°, intensity 21, (4 1 7)
- 62.64°, intensity 21, (7 1 4)

=====

2.
The following is a theoretical powder diffractogram of TmGa3. It was derived from a cell relaxed with PBE, using Cu Kα X-rays.
Intensities are scaled so that the largest is 100.

```
data_TmGa3
_cell_length_a 6.1804
_cell_length_b 6.1804
_cell_length_c 4.6077
_cell_angle_alpha 90.00
_cell_angle_beta 90.00
_cell_angle_gamma 120.00
_space_group_name_H-M_alt 'P 63/m m c'
_space_group_IT_number 194
_space_group_name_Hall '-P 6c 2c'
loop_
_atom_site_label
_atom_site_type_symbol
_atom_site_fract_x
_atom_site_fract_y
_atom_site_fract_z
Tm1 Tm 0.3333 0.6667 0.2500
Ga1 Ga 0.1515 0.3030 0.7500
```

Most intense lines, 10° ≤ 2θ ≤ 90°, in order of rising 2θ:
- 25.51°, intensity 25, (1 0 1)
- 28.89°, intensity 10, (1 1 0)
- 33.48°, intensity 25, (2 0 0)
- 38.92°, intensity 100, (2 0 1)
- 39.10°, intensity 23, (0 0 2)
- 52.40°, intensity 14, (2 0 2)
- 59.86°, intensity 17, (2 2 0)
- 70.72°, intensity 17, (2 0 3)
- 73.73°, intensity 13, (4 0 1)
- 73.85°, intensity 18, (2 2 2)

=====

3.
The following is a theoretical powder diffractogram of Tm2ZnGa. It was derived from a cell relaxed with PBE, using Cu Kα X-rays.
Intensities are scaled so that the largest is 100.

```
data_Tm2ZnGa
_cell_length_a 7.046
_cell_length_b 7.046
_cell_length_c 7.046
_cell_angle_alpha 90.00
_cell_angle_beta 90.00
_cell_angle_gamma 90.00
_space_group_name_H-M_alt 'F m -3 m'
_space_group_IT_number 225
_space_group_name_Hall '-F 4 2 3'
loop_
_atom_site_label
_atom_site_type_symbol
_atom_site_fract_x
_atom_site_fract_y
_atom_site_fract_z
Tm1 Tm 0.250 0.250 0.250
Zn1 Zn 0.000 0.000 0.000
Ga1 Ga 0.000 0.000 0.500
```

Most intense lines, 10° ≤ 2θ ≤ 90°, in order of rising 2θ:
- 25.28°, intensity 19, (2 0 0)
- 36.05°, intensity 100, (2 2 0)
- 44.54°, intensity 6, (2 2 2)
- 51.91°, intensity 18, (4 0 0)
- 58.59°, intensity 8, (4 2 0)
- 64.82°, intensity 36, (4 2 2)
- 76.47°, intensity 11, (4 4 0)
- 82.06°, intensity 4, (6 0 0)
- 87.57°, intensity 16, (6 2 0)

=====

4.
The following is a theoretical powder diffractogram of UGa3. It was derived from a cell relaxed with PBE, using Cu Kα X-rays.
Intensities are scaled so that the largest is 100.

```
data_UGa3
_cell_length_a 4.244
_cell_length_b 4.244
_cell_length_c 4.244
_cell_angle_alpha 90.00
_cell_angle_beta 90.00
_cell_angle_gamma 90.00
_space_group_name_H-M_alt 'P m -3 m'
_space_group_IT_number 221
_space_group_name_Hall '-P 4 2 3'
loop_
_atom_site_label
_atom_site_type_symbol
_atom_site_fract_x
_atom_site_fract_y
_atom_site_fract_z
U1 U 0.000 0.000 0.000
Ga1 Ga 0.000 0.500 0.500
```

Most intense lines, 10° ≤ 2θ ≤ 90°, in order of rising 2θ:
- 20.93°, intensity 35, (1 0 0)
- 29.77°, intensity 30, (1 1 0)
- 36.68°, intensity 100, (1 1 1)
- 42.61°, intensity 49, (2 0 0)
- 47.94°, intensity 17, (2 1 0)
- 52.85°, intensity 13, (2 1 1)
- 61.84°, intensity 33, (2 2 0)
- 66.05°, intensity 9, (3 0 0)
- 74.10°, intensity 39, (3 1 1)
- 78.00°, intensity 11, (2 2 2)

=====

5.
The following is a theoretical powder diffractogram of U3Ga5. It was derived from a cell relaxed with PBE, using Cu Kα X-rays.
Intensities are scaled so that the largest is 100.

```
data_U3Ga5
_cell_length_a 9.267
_cell_length_b 7.623
_cell_length_c 9.372
_cell_angle_alpha 90.00
_cell_angle_beta 90.00
_cell_angle_gamma 90.00
_space_group_name_H-M_alt 'C m c m'
_space_group_IT_number 63
_space_group_name_Hall '-C 2c 2'
loop_
_atom_site_label
_atom_site_type_symbol
_atom_site_fract_x
_atom_site_fract_y
_atom_site_fract_z
U1 U 0.000 0.130 0.250
U2 U 0.211 0.500 0.000
Ga1 Ga 0.000 0.201 0.556
Ga2 Ga 0.000 0.483 0.750
Ga3 Ga 0.208 0.220 0.750
```

Most intense lines, 10° ≤ 2θ ≤ 90°, in order of rising 2θ:
- 27.06°, intensity 49, (2 0 2)
- 30.22°, intensity 35, (0 2 2)
- 30.36°, intensity 21, (2 2 0)
- 31.24°, intensity 28, (3 1 0)
- 31.87°, intensity 21, (2 2 1)
- 36.03°, intensity 100, (2 2 2)
- 36.67°, intensity 26, (1 3 0)
- 38.42°, intensity 41, (0 0 4)
- 38.87°, intensity 27, (4 0 0)
- 50.37°, intensity 28, (3 3 2)

=====

6.
The following is a theoretical powder diffractogram of UGa2. It was derived from a cell relaxed with PBE, using Cu Kα X-rays.
Intensities are scaled so that the largest is 100.

```
data_UGa2
_cell_length_a 4.2373
_cell_length_b 4.2373
_cell_length_c 4.0083
_cell_angle_alpha 90.00
_cell_angle_beta 90.00
_cell_angle_gamma 120.00
_space_group_name_H-M_alt 'P 6/m m m'
_space_group_IT_number 191
_space_group_name_Hall '-P 6 2'
loop_
_atom_site_label
_atom_site_type_symbol
_atom_site_fract_x
_atom_site_fract_y
_atom_site_fract_z
U1 U 0.0000 0.0000 0.0000
Ga1 Ga 0.3333 0.6667 0.5000
```

Most intense lines, 10° ≤ 2θ ≤ 90°, in order of rising 2θ:
- 24.25°, intensity 28, (1 0 0)
- 33.10°, intensity 100, (1 0 1)
- 42.68°, intensity 39, (1 1 0)
- 45.25°, intensity 11, (0 0 2)
- 51.99°, intensity 8, (1 0 2)
- 55.04°, intensity 24, (2 0 1)
- 63.94°, intensity 24, (1 1 2)
- 72.05°, intensity 22, (2 1 1)
- 75.77°, intensity 10, (1 0 3)
- 78.14°, intensity 7, (3 0 0)

=====

7.
The following is a theoretical powder diffractogram of YUGa4. It was derived from a cell relaxed with PBE, using Cu Kα X-rays.
Intensities are scaled so that the largest is 100.

```
data_YUGa4
_cell_length_a 4.079
_cell_length_b 4.214
_cell_length_c 7.333
_cell_angle_alpha 90.00
_cell_angle_beta 90.00
_cell_angle_gamma 90.00
_space_group_name_H-M_alt 'P m m m'
_space_group_IT_number 47
_space_group_name_Hall '-P 2 2'
loop_
_atom_site_label
_atom_site_type_symbol
_atom_site_fract_x
_atom_site_fract_y
_atom_site_fract_z
Y1 Y 0.000 0.000 0.000
U1 U 0.000 0.500 0.500
Ga1 Ga 0.500 0.000 0.334
Ga2 Ga 0.500 0.500 0.167
```

Most intense lines, 10° ≤ 2θ ≤ 90°, in order of rising 2θ:
- 12.07°, intensity 14, (0 0 1)
- 24.33°, intensity 14, (0 0 2)
- 32.89°, intensity 100, (1 1 1)
- 42.77°, intensity 28, (0 1 3)
- 42.93°, intensity 14, (0 2 0)
- 44.42°, intensity 13, (2 0 0)
- 55.09°, intensity 15, (1 2 2)
- 63.37°, intensity 18, (2 1 3)
- 63.49°, intensity 9, (2 2 0)
- 74.45°, intensity 10, (3 1 1)

=====

8.
The following is a theoretical powder diffractogram of V6Ga7. It was derived from a cell relaxed with PBE, using Cu Kα X-rays.
Intensities are scaled so that the largest is 100.

```
data_V6Ga7
_cell_length_a 9.172
_cell_length_b 12.899
_cell_length_c 7.825
_cell_angle_alpha 90.00
_cell_angle_beta 124.35
_cell_angle_gamma 90.00
_space_group_name_H-M_alt 'C 1 m 1'
_space_group_IT_number 8
_space_group_name_Hall 'C -2y'
loop_
_atom_site_label
_atom_site_type_symbol
_atom_site_fract_x
_atom_site_fract_y
_atom_site_fract_z
V1 V 0.000 0.000 0.000
V2 V 0.006 0.000 0.665
V3 V 0.149 0.500 0.317
V4 V 0.157 0.500 0.864
V5 V 0.254 0.394 0.650
V6 V 0.315 0.000 0.669
V7 V 0.330 0.330 0.007
V8 V 0.442 0.000 0.441
V9 V 0.483 0.170 0.649
Ga1 Ga 0.029 0.365 0.003
Ga2 Ga 0.088 0.174 0.922
Ga3 Ga 0.172 0.130 0.315
Ga4 Ga 0.202 0.187 0.675
Ga5 Ga 0.303 0.000 0.031
Ga6 Ga 0.335 0.330 0.393
Ga7 Ga 0.426 0.500 0.275
Ga8 Ga 0.475 0.181 0.294
```

Most intense lines, 10° ≤ 2θ ≤ 90°, in order of rising 2θ:
- 33.51°, intensity 12, (2 0 1)
- 33.99°, intensity 18, (2 4 -1)
- 41.48°, intensity 100, (3 3 0)
- 41.78°, intensity 57, (1 3 2)
- 41.92°, intensity 70, (0 0 3)
- 42.03°, intensity 44, (0 6 0)
- 42.16°, intensity 59, (1 5 -2)
- 42.30°, intensity 91, (3 3 -3)
- 60.89°, intensity 13, (0 6 3)
- 71.54°, intensity 12, (4 8 -2)